# Np2CuNiS5
Computed XRD peak list, copper Kα. Input: a PBE-relaxed structure.
Neutral-atom scattering factors, no anomalous dispersion.

Largest 10 diffraction maxima, by angle, 2θ from 10° to 90°:
2θ = 17.2°, I = 44; 2θ = 21.6°, I = 72; 2θ = 24.5°, I = 48; 2θ = 27.8°, I = 50; 2θ = 28.2°, I = 76; 2θ = 30.1°, I = 75; 2θ = 33.8°, I = 62; 2θ = 36.0°, I = 73; 2θ = 40.5°, I = 100; 2θ = 53.5°, I = 42

Cell and atoms:
```
Np2CuNiS5
1.0
1.8659 -8.2349 0.0000
1.8659 8.2349 0.0000
0.0000 0.0000 10.2851
Np Cu Ni S
4 2 2 10
Direct
0.1078 0.8922 0.5000
0.1264 0.8736 0.9013
0.8736 0.1264 0.4013
0.8922 0.1078 0.0000
0.4079 0.5921 0.7018
0.5921 0.4079 0.2018
0.2152 0.7848 0.2075
0.7848 0.2152 0.7075
0.0223 0.9777 0.2744
0.2873 0.7127 0.5546
0.2998 0.7002 0.8601
0.3554 0.6446 0.2048
0.4803 0.5197 0.5045
0.5197 0.4803 0.0045
0.6446 0.3554 0.7048
0.7002 0.2998 0.3601
0.7127 0.2873 0.0546
0.9777 0.0223 0.7744
```